Simulated powder diffractogram of Mg6CdSb for Cu Kα, 1.54184 Å, from DFT lattice parameters and positions (GGA-PBE).

Peak list (10 most intense, 2θ = 10–90°, by angle)
2theta  I (rel.)
16.2  52.7
23.2  41.6
23.7  37.8
31.1  28.7
32.4  25.4
34.9  33.5
35.7  17.9
37.2  100.0
47.4  17.8
64.0  19.2

Crystal structure
```
Mg6CdSb
1.0
5.1457 0.0000 0.0000
0.0000 6.2282 0.0000
0.0000 0.0000 11.5203
Mg Cd Sb
12 2 2
Direct
0.0000 0.0000 0.0000 Mg
0.0000 0.2467 0.7586 Mg
0.0000 0.2533 0.2586 Mg
0.0000 0.5000 0.5000 Mg
0.0000 0.7467 0.2586 Mg
0.0000 0.7533 0.7586 Mg
0.5000 0.0000 0.8385 Mg
0.5000 0.2479 0.5776 Mg
0.5000 0.2521 0.0776 Mg
0.5000 0.5000 0.3385 Mg
0.5000 0.7479 0.0776 Mg
0.5000 0.7521 0.5776 Mg
0.0000 0.0000 0.5362 Cd
0.0000 0.5000 0.0362 Cd
0.5000 0.0000 0.3153 Sb
0.5000 0.5000 0.8153 Sb
```